The following is a calculated X-ray powder pattern of Sm2Sc3Sb2. It was derived from a cell relaxed with PBE, using CuKα.

The 10 most intense peaks (2θ from 15° to 90°), low angle first:
22.71°, d = 3.915 Å, I 55, hkl 1 1 0; 23.17°, d = 3.838 Å, I 71, hkl 0 0 2; 30.28°, d = 2.952 Å, I 71, hkl 1 1 -2; 31.32°, d = 2.856 Å, I 76, hkl 3 1 -1; 32.69°, d = 2.740 Å, I 100, hkl 3 1 0; 33.03°, d = 2.712 Å, I 51, hkl 4 0 0; 34.26°, d = 2.617 Å, I 64, hkl 3 1 -2; 34.92°, d = 2.569 Å, I 63, hkl 1 1 2; 43.10°, d = 2.099 Å, I 48, hkl 0 2 0; 45.94°, d = 1.975 Å, I 37, hkl 3 1 2

Structural model:
a b c (Å): 11.7411 4.1979 8.3084
angles (deg): 90.00 112.50 90.00
Atoms (fractional coordinates):
Sm (0.1339, 0.0000, 0.2899)
Sm (0.3661, 0.5000, 0.7101)
Sm (0.6339, 0.5000, 0.2899)
Sm (0.8661, 0.0000, 0.7101)
Sc (0.0000, 0.5000, 0.5000)
Sc (0.1219, 0.5000, 0.9444)
Sc (0.3781, 0.0000, 0.0556)
Sc (0.5000, 0.0000, 0.5000)
Sc (0.6219, 0.0000, 0.9444)
Sc (0.8781, 0.5000, 0.0556)
Sb (0.1620, 0.0000, 0.7130)
Sb (0.3380, 0.5000, 0.2870)
Sb (0.6620, 0.5000, 0.7130)
Sb (0.8380, 0.0000, 0.2870)